This entry pairs a crystal structure of CaGaCu3Se4 with its calculated X-ray powder pattern. Radiation: Cu Ka. Structure: DFT lattice parameters and positions (PBE).
No peak broadening, texture or thermal motion is included.

Peak list (10 most intense, 10° ≤ 2θ ≤ 80°, sorted by position)
(hkl)  2θ/deg  intensity
1 0 0  14.78  34
1 1 1  25.74  88
2 1 1  36.72  5
2 2 0  42.66  100
2 2 1  45.39  8
3 1 1  50.50  37
3 2 0  55.25  10
4 0 0  61.92  15
3 3 1  68.19  13
4 2 2  78.10  28

Crystal structure
Lattice parameters (Å, degrees): 5.9945 5.9945 5.9945 90.00 90.00 90.00
Atoms (fractional coordinates):
Ca 0.0000 0.0000 0.0000
Ga 0.5000 0.5000 0.5000
Cu 0.0000 0.5000 0.5000
Cu 0.5000 0.0000 0.5000
Cu 0.5000 0.5000 0.0000
Se 0.2682 0.2682 0.7318
Se 0.2682 0.7318 0.2682
Se 0.7318 0.2682 0.2682
Se 0.7318 0.7318 0.7318